This entry pairs a crystal structure of MgTlB2F8 with its calculated XRD peak list. Radiation: Cu Kα, 1.54184 Å. Structure: a GGA-PBE-relaxed structure.
Lines closer than 0.1° are merged.

Crystal structure
```
MgTlB2F8
1.0
2.4139 1.3937 10.1542
-2.4139 1.3937 10.1542
0.0000 -2.7873 10.1542
Mg Tl B F
1 1 2 8
Direct
0.0000 0.0000 0.0000
0.5000 0.5000 0.5000
0.2770 0.2770 0.2770
0.7230 0.7230 0.7230
0.0426 0.5912 0.2509
0.2327 0.2327 0.2327
0.2509 0.0426 0.5912
0.4088 0.7491 0.9574
0.5912 0.2509 0.0426
0.7491 0.9574 0.4088
0.7673 0.7673 0.7673
0.9574 0.4088 0.7491
```

Most intense lines, 10 to 80 degrees two-theta, low angle first:
- 17.47 deg, I 303
- 21.45 deg, I 404
- 22.05 deg, I 304
- 24.29 deg, I 1000
- 25.84 deg, I 354
- 31.79 deg, I 289
- 36.49 deg, I 202
- 38.33 deg, I 330
- 41.42 deg, I 213
- 52.30 deg, I 203